Starting from a crystal structure in Alexandria, relaxed with PBE, the powder XRD pattern of BaCaTi4O8 was simulated for Cu Kα, 1.54184 Å.

Atomic structure:
a = 5.5783 Å, b = 5.5783 Å, c = 7.7796 Å
α = 90.00°, β = 90.00°, γ = 120.00°
Sites, in units of the cell vectors:
Ba 0.0000 0.0000 0.0000
Ca 0.0000 0.0000 0.5000
Ti 0.3333 0.6667 0.2418
Ti 0.3333 0.6667 0.7582
Ti 0.6667 0.3333 0.2418
Ti 0.6667 0.3333 0.7582
O 0.0000 0.3303 0.3055
O 0.0000 0.6697 0.6945
O 0.3303 0.0000 0.3055
O 0.3303 0.3303 0.6945
O 0.3333 0.6667 0.0000
O 0.6667 0.3333 0.0000
O 0.6697 0.0000 0.6945
O 0.6697 0.6697 0.3055

The 6 most intense peaks (2θ = 10–90°), low angle first:
2θ (°)	I_rel
29.48	100
32.09	76
34.15	31
44.13	32
55.60	32
57.79	32


Starting from a crystal structure in Alexandria, relaxed with PBE, the powder XRD pattern of Ba2CaTm3O8 was simulated for Cu Kα, 1.54184 Å.

Atomic structure:
a = 7.3522 Å, b = 7.3522 Å, c = 7.3522 Å
α = 56.10°, β = 56.10°, γ = 56.10°
Sites, in units of the cell vectors:
Ba 0.0000 0.0000 0.0000
Ba 0.3727 0.3727 0.3727
Ca 0.7710 0.7710 0.7710
Tm 0.3735 0.3735 0.8707
Tm 0.3735 0.8707 0.3735
Tm 0.8707 0.3735 0.3735
O 0.1203 0.1203 0.5661
O 0.1203 0.5661 0.1203
O 0.1430 0.1430 0.1430
O 0.1622 0.6283 0.6283
O 0.5661 0.1203 0.1203
O 0.6015 0.6015 0.6015
O 0.6283 0.1622 0.6283
O 0.6283 0.6283 0.1622

The 6 most intense peaks (2θ = 10–90°), low angle first:
2θ (°)	I_rel
14.35	53
28.33	61
29.62	100
30.24	66
31.40	69
35.71	61


Starting from a crystal structure in Alexandria, relaxed with PBE, the powder XRD pattern of BaCa2U2O7 was simulated for Cu Kα, 1.54184 Å.

Atomic structure:
a = 10.2054 Å, b = 10.2054 Å, c = 10.2054 Å
α = 154.24°, β = 36.78°, γ = 154.20°
Sites, in units of the cell vectors:
Ba 0.0000 0.0000 0.0000
Ca 0.2772 0.5277 0.7494
Ca 0.7783 0.5277 0.2506
U 0.4141 0.0264 0.3877
U 0.6387 0.0264 0.6123
O 0.1438 0.5278 0.6159
O 0.2996 0.0277 0.2719
O 0.4167 0.5319 0.8849
O 0.5585 0.0585 0.5000
O 0.6470 0.5319 0.1151
O 0.7558 0.0277 0.7281
O 0.9119 0.5278 0.3841

The 6 most intense peaks (2θ = 10–90°), low angle first:
2θ (°)	I_rel
20.03	58
23.92	91
27.70	59
30.29	100
39.59	57
50.65	50